Entry 1:
Starting from a GGA-PBE-relaxed structure, the powder diffractogram of Rb2ZnRhI6 was computed for Cu Kα X-rays.

Structure:
abc: 8.013 8.013 8.013
angles: 118.73 118.73 92.21
Fractional coordinates of all 10 atoms:
Rb1 0.250 0.750 0.500
Rb2 0.750 0.250 0.500
Zn1 0.000 0.000 0.000
Rh1 0.500 0.500 0.000
I1 0.250 0.250 0.000
I2 0.263 0.263 0.526
I3 0.263 0.737 0.000
I4 0.737 0.263 0.000
I5 0.737 0.737 0.474
I6 0.750 0.750 0.000

Most intense lines, 10° ≤ 2θ ≤ 90°, low angle first:
2θ = 15.35°, d = 5.774 Å, intensity 24; 2θ = 27.10°, d = 3.290 Å, intensity 100; 2θ = 30.98°, d = 2.887 Å, intensity 76; 2θ = 32.22°, d = 2.778 Å, intensity 35; 2θ = 44.38°, d = 2.041 Å, intensity 27; 2θ = 45.30°, d = 2.002 Å, intensity 52; 2θ = 52.78°, d = 1.735 Å, intensity 29; 2θ = 54.40°, d = 1.687 Å, intensity 14; 2θ = 55.89°, d = 1.645 Å, intensity 27; 2θ = 72.73°, d = 1.300 Å, intensity 12; 2θ = 76.04°, d = 1.252 Å, intensity 12; 2θ = 82.37°, d = 1.171 Å, intensity 17



Entry 2:
Starting from a GGA-PBE-relaxed structure, the powder diffractogram of Rb3RuI6 was computed for Cu Kα X-rays.

Structure:
abc: 8.707 8.707 8.707
angles: 60.00 60.00 60.00
Fractional coordinates of all 10 atoms:
Rb1 0.000 0.000 0.000
Rb2 0.250 0.250 0.250
Rb3 0.750 0.750 0.750
Ru1 0.500 0.500 0.500
I1 0.280 0.280 0.720
I2 0.280 0.720 0.280
I3 0.280 0.720 0.720
I4 0.720 0.280 0.280
I5 0.720 0.280 0.720
I6 0.720 0.720 0.280

Most intense lines, 10° ≤ 2θ ≤ 90°, low angle first:
2θ = 12.45°, d = 7.109 Å, intensity 22; 2θ = 14.39°, d = 6.157 Å, intensity 40; 2θ = 25.05°, d = 3.555 Å, intensity 82; 2θ = 29.01°, d = 3.078 Å, intensity 100; 2θ = 37.97°, d = 2.370 Å, intensity 25; 2θ = 41.49°, d = 2.177 Å, intensity 65; 2θ = 49.08°, d = 1.856 Å, intensity 26; 2θ = 51.41°, d = 1.777 Å, intensity 20; 2θ = 53.12°, d = 1.724 Å, intensity 15; 2θ = 57.49°, d = 1.603 Å, intensity 14; 2θ = 68.11°, d = 1.377 Å, intensity 21; 2θ = 80.73°, d = 1.190 Å, intensity 17



Entry 3:
Starting from a GGA-PBE-relaxed structure, the powder diffractogram of Rb2VRuI6 was computed for Cu Kα X-rays.

Structure:
abc: 8.037 8.037 8.037
angles: 119.93 119.93 90.12
Fractional coordinates of all 10 atoms:
Rb1 0.250 0.750 0.500
Rb2 0.750 0.250 0.500
V1 0.000 0.000 0.000
Ru1 0.500 0.500 0.000
I1 0.252 0.252 0.000
I2 0.252 0.252 0.503
I3 0.252 0.748 0.000
I4 0.748 0.252 0.000
I5 0.748 0.748 0.000
I6 0.748 0.748 0.497

Most intense lines, 10° ≤ 2θ ≤ 90°, low angle first:
2θ = 15.59°, d = 5.685 Å, intensity 26; 2θ = 27.17°, d = 3.282 Å, intensity 100; 2θ = 31.47°, d = 2.843 Å, intensity 100; 2θ = 35.30°, d = 2.542 Å, intensity 13; 2θ = 45.11°, d = 2.010 Å, intensity 72; 2θ = 53.46°, d = 1.714 Å, intensity 45; 2θ = 56.04°, d = 1.641 Å, intensity 25; 2θ = 72.47°, d = 1.304 Å, intensity 18; 2θ = 74.62°, d = 1.272 Å, intensity 21; 2θ = 74.75°, d = 1.270 Å, intensity 11; 2θ = 83.23°, d = 1.161 Å, intensity 16; 2θ = 89.55°, d = 1.095 Å, intensity 11



Entry 4:
Starting from a GGA-PBE-relaxed structure, the powder diffractogram of Rb3SI6 was computed for Cu Kα X-rays.

Structure:
abc: 8.852 8.852 8.852
angles: 118.82 118.82 92.06
Fractional coordinates of all 10 atoms:
Rb1 0.000 0.000 0.000
Rb2 0.250 0.750 0.500
Rb3 0.750 0.250 0.500
S1 0.500 0.500 0.000
I1 0.270 0.270 0.540
I2 0.270 0.730 0.000
I3 0.281 0.281 0.000
I4 0.719 0.719 0.000
I5 0.730 0.270 0.000
I6 0.730 0.730 0.460

Most intense lines, 10° ≤ 2θ ≤ 90°, low angle first:
2θ = 13.90°, d = 6.371 Å, intensity 14; 2θ = 24.50°, d = 3.633 Å, intensity 100; 2θ = 28.01°, d = 3.185 Å, intensity 62; 2θ = 29.06°, d = 3.073 Å, intensity 26; 2θ = 31.13°, d = 2.873 Å, intensity 12; 2θ = 40.03°, d = 2.252 Å, intensity 22; 2θ = 40.80°, d = 2.212 Å, intensity 38; 2θ = 47.49°, d = 1.914 Å, intensity 28; 2θ = 48.84°, d = 1.865 Å, intensity 10; 2θ = 50.22°, d = 1.817 Å, intensity 19; 2θ = 65.53°, d = 1.425 Å, intensity 8; 2θ = 73.24°, d = 1.292 Å, intensity 10



Entry 5:
Starting from a GGA-PBE-relaxed structure, the powder diffractogram of Rb4SI2 was computed for Cu Kα X-rays.

Structure:
abc: 9.934 8.171 10.075
angles: 90.00 116.73 90.00
Fractional coordinates of all 14 atoms:
Rb1 0.014 0.250 0.277
Rb2 0.281 0.250 0.018
Rb3 0.379 0.002 0.616
Rb4 0.379 0.498 0.616
Rb5 0.621 0.502 0.384
Rb6 0.621 0.998 0.384
Rb7 0.719 0.750 0.982
Rb8 0.986 0.750 0.723
S1 0.360 0.250 0.359
S2 0.640 0.750 0.641
I1 0.002 0.250 0.631
I2 0.370 0.750 0.012
I3 0.630 0.250 0.988
I4 0.998 0.750 0.369

Most intense lines, 10° ≤ 2θ ≤ 90°, low angle first:
2θ = 10.39°, d = 8.517 Å, intensity 44; 2θ = 20.88°, d = 4.254 Å, intensity 85; 2θ = 21.75°, d = 4.086 Å, intensity 42; 2θ = 23.95°, d = 3.716 Å, intensity 75; 2θ = 25.92°, d = 3.437 Å, intensity 35; 2θ = 27.67°, d = 3.224 Å, intensity 100; 2θ = 28.15°, d = 3.170 Å, intensity 50; 2θ = 28.30°, d = 3.154 Å, intensity 58; 2θ = 29.54°, d = 3.024 Å, intensity 34; 2θ = 29.78°, d = 3.000 Å, intensity 84; 2θ = 30.22°, d = 2.957 Å, intensity 55; 2θ = 44.34°, d = 2.043 Å, intensity 33



Entry 6:
Starting from a GGA-PBE-relaxed structure, the powder diffractogram of Rb2TlSI6 was computed for Cu Kα X-rays.

Structure:
abc: 8.501 8.501 8.501
angles: 119.61 119.61 90.67
Fractional coordinates of all 10 atoms:
Rb1 0.250 0.750 0.500
Rb2 0.750 0.250 0.500
Tl1 0.000 0.000 0.000
S1 0.500 0.500 0.000
I1 0.255 0.255 0.510
I2 0.255 0.745 0.000
I3 0.273 0.273 0.000
I4 0.727 0.727 0.000
I5 0.745 0.255 0.000
I6 0.745 0.745 0.490

Most intense lines, 10° ≤ 2θ ≤ 90°, low angle first:
2θ = 14.65°, d = 6.046 Å, intensity 38; 2θ = 14.83°, d = 5.975 Å, intensity 20; 2θ = 25.62°, d = 3.477 Å, intensity 100; 2θ = 29.55°, d = 3.023 Å, intensity 99; 2θ = 29.91°, d = 2.988 Å, intensity 45; 2θ = 32.45°, d = 2.759 Å, intensity 19; 2θ = 33.17°, d = 2.701 Å, intensity 21; 2θ = 42.28°, d = 2.138 Å, intensity 37; 2θ = 42.54°, d = 2.125 Å, intensity 67; 2θ = 50.09°, d = 1.821 Å, intensity 30; 2θ = 52.65°, d = 1.739 Å, intensity 36; 2θ = 77.49°, d = 1.232 Å, intensity 23



Entry 7:
Starting from a GGA-PBE-relaxed structure, the powder diffractogram of Rb2SbI5 was computed for Cu Kα X-rays.

Structure:
abc: 7.137 8.721 9.595
angles: 94.98 111.79 114.00
Fractional coordinates of all 8 atoms:
Rb1 0.000 0.000 0.000
Rb2 0.082 0.656 0.509
Sb1 0.564 0.327 0.754
I1 0.210 0.085 0.431
I2 0.454 0.016 0.891
I3 0.629 0.639 0.618
I4 0.784 0.570 0.078
I5 0.959 0.323 0.750

Most intense lines, 10° ≤ 2θ ≤ 90°, low angle first:
2θ = 10.34°, d = 8.552 Å, intensity 76; 2θ = 14.05°, d = 6.302 Å, intensity 89; 2θ = 17.59°, d = 5.042 Å, intensity 20; 2θ = 22.66°, d = 3.925 Å, intensity 40; 2θ = 23.19°, d = 3.836 Å, intensity 31; 2θ = 24.95°, d = 3.569 Å, intensity 79; 2θ = 26.57°, d = 3.354 Å, intensity 100; 2θ = 28.03°, d = 3.184 Å, intensity 24; 2θ = 30.99°, d = 2.886 Å, intensity 31; 2θ = 33.96°, d = 2.640 Å, intensity 22; 2θ = 36.75°, d = 2.446 Å, intensity 50; 2θ = 36.83°, d = 2.441 Å, intensity 19



Entry 8:
Starting from a GGA-PBE-relaxed structure, the powder diffractogram of Rb5Sb2I2 was computed for Cu Kα X-rays.

Structure:
abc: 10.720 10.720 9.483
angles: 90.00 90.00 52.36
Fractional coordinates of all 18 atoms:
Rb1 0.000 0.000 0.000
Rb2 0.039 0.690 0.673
Rb3 0.190 0.539 0.173
Rb4 0.310 0.961 0.673
Rb5 0.461 0.810 0.173
Rb6 0.500 0.500 0.500
Rb7 0.539 0.190 0.827
Rb8 0.690 0.039 0.327
Rb9 0.810 0.461 0.827
Rb10 0.961 0.310 0.327
Sb1 0.106 0.894 0.394
Sb2 0.394 0.606 0.894
Sb3 0.606 0.394 0.106
Sb4 0.894 0.106 0.606
I1 0.206 0.206 0.000
I2 0.294 0.294 0.500
I3 0.706 0.706 0.500
I4 0.794 0.794 0.000

Most intense lines, 10° ≤ 2θ ≤ 90°, low angle first:
2θ = 18.74°, d = 4.735 Å, intensity 22; 2θ = 19.16°, d = 4.632 Å, intensity 38; 2θ = 22.96°, d = 3.874 Å, intensity 23; 2θ = 25.18°, d = 3.536 Å, intensity 72; 2θ = 26.41°, d = 3.374 Å, intensity 100; 2θ = 26.65°, d = 3.345 Å, intensity 76; 2θ = 27.82°, d = 3.207 Å, intensity 26; 2θ = 28.08°, d = 3.177 Å, intensity 64; 2θ = 30.20°, d = 2.959 Å, intensity 81; 2θ = 35.30°, d = 2.543 Å, intensity 31; 2θ = 38.08°, d = 2.363 Å, intensity 44; 2θ = 54.83°, d = 1.674 Å, intensity 31



Entry 9:
Starting from a GGA-PBE-relaxed structure, the powder diffractogram of Rb3Sb2I9 was computed for Cu Kα X-rays.

Structure:
abc: 14.943 8.412 25.619
angles: 90.00 123.86 90.00
Fractional coordinates of all 56 atoms:
Rb1 0.035 0.025 0.391
Rb2 0.035 0.475 0.891
Rb3 0.305 0.523 0.776
Rb4 0.305 0.977 0.276
Rb5 0.370 0.021 0.060
Rb6 0.370 0.479 0.560
Rb7 0.630 0.521 0.440
Rb8 0.630 0.979 0.940
Rb9 0.695 0.023 0.724
Rb10 0.695 0.477 0.224
Rb11 0.965 0.525 0.109
Rb12 0.965 0.975 0.609
Sb1 0.171 0.504 0.340
Sb2 0.171 0.996 0.840
Sb3 0.327 0.509 0.160
Sb4 0.327 0.991 0.660
Sb5 0.673 0.009 0.340
Sb6 0.673 0.491 0.840
Sb7 0.829 0.004 0.160
Sb8 0.829 0.496 0.660
I1 0.051 0.688 0.753
I2 0.051 0.812 0.253
I3 0.091 0.577 0.418
I4 0.091 0.923 0.918
I5 0.157 0.190 0.560
I6 0.157 0.310 0.060
I7 0.191 0.708 0.615
I8 0.191 0.792 0.115
I9 0.241 0.087 0.746
I10 0.241 0.413 0.246
I11 0.281 0.216 0.412
I12 0.281 0.284 0.912
I13 0.366 0.695 0.417
I14 0.366 0.805 0.917
I15 0.417 0.576 0.086
I16 0.417 0.924 0.586
I17 0.481 0.197 0.219
I18 0.481 0.303 0.719
I19 0.519 0.697 0.281
I20 0.519 0.803 0.781
I21 0.583 0.076 0.414
I22 0.583 0.424 0.914
I23 0.634 0.195 0.083
I24 0.634 0.305 0.583
I25 0.719 0.716 0.088
I26 0.719 0.784 0.588
I27 0.759 0.587 0.754
I28 0.759 0.913 0.254
I29 0.809 0.208 0.885
I30 0.809 0.292 0.385
I31 0.843 0.690 0.940
I32 0.843 0.810 0.440
I33 0.909 0.077 0.082
I34 0.909 0.423 0.582
I35 0.949 0.188 0.747
I36 0.949 0.312 0.247

Most intense lines, 10° ≤ 2θ ≤ 90°, low angle first:
2θ = 14.57°, d = 6.079 Å, intensity 35; 2θ = 14.74°, d = 6.009 Å, intensity 30; 2θ = 24.00°, d = 3.708 Å, intensity 26; 2θ = 24.58°, d = 3.622 Å, intensity 100; 2θ = 25.07°, d = 3.552 Å, intensity 90; 2θ = 25.84°, d = 3.448 Å, intensity 66; 2θ = 29.38°, d = 3.040 Å, intensity 100; 2θ = 29.66°, d = 3.012 Å, intensity 69; 2θ = 32.34°, d = 2.769 Å, intensity 32; 2θ = 36.80°, d = 2.442 Å, intensity 31; 2θ = 44.28°, d = 2.046 Å, intensity 29; 2θ = 44.53°, d = 2.035 Å, intensity 31



Entry 10:
Starting from a GGA-PBE-relaxed structure, the powder diffractogram of Rb3Sb2I9 was computed for Cu Kα X-rays.

Structure:
abc: 8.443 8.443 21.774
angles: 90.00 90.00 120.00
Fractional coordinates of all 28 atoms:
Rb1 0.000 0.000 0.250
Rb2 0.000 0.000 0.750
Rb3 0.333 0.667 0.060
Rb4 0.333 0.667 0.440
Rb5 0.667 0.333 0.560
Rb6 0.667 0.333 0.940
Sb1 0.333 0.667 0.658
Sb2 0.333 0.667 0.842
Sb3 0.667 0.333 0.158
Sb4 0.667 0.333 0.342
I1 0.005 0.503 0.250
I2 0.166 0.332 0.584
I3 0.166 0.332 0.916
I4 0.166 0.834 0.584
I5 0.166 0.834 0.916
I6 0.332 0.166 0.084
I7 0.332 0.166 0.416
I8 0.497 0.503 0.250
I9 0.497 0.995 0.250
I10 0.503 0.005 0.750
I11 0.503 0.497 0.750
I12 0.668 0.834 0.584
I13 0.668 0.834 0.916
I14 0.834 0.166 0.084
I15 0.834 0.166 0.416
I16 0.834 0.668 0.084
I17 0.834 0.668 0.416
I18 0.995 0.497 0.750

Most intense lines, 10° ≤ 2θ ≤ 90°, low angle first:
2θ = 12.77°, d = 6.931 Å, intensity 51; 2θ = 24.53°, d = 3.629 Å, intensity 47; 2θ = 25.71°, d = 3.466 Å, intensity 91; 2θ = 27.31°, d = 3.265 Å, intensity 100; 2θ = 29.43°, d = 3.035 Å, intensity 77; 2θ = 31.96°, d = 2.800 Å, intensity 52; 2θ = 32.54°, d = 2.752 Å, intensity 18; 2θ = 41.36°, d = 2.183 Å, intensity 31; 2θ = 42.85°, d = 2.111 Å, intensity 68; 2θ = 44.93°, d = 2.018 Å, intensity 28; 2θ = 49.99°, d = 1.825 Å, intensity 39; 2θ = 68.15°, d = 1.376 Å, intensity 24



Entry 11:
Starting from a GGA-PBE-relaxed structure, the powder diffractogram of RbSbI4 was computed for Cu Kα X-rays.

Structure:
abc: 9.932 9.932 7.785
angles: 106.18 106.18 115.78
Fractional coordinates of all 12 atoms:
Rb1 0.117 0.883 0.750
Rb2 0.883 0.117 0.250
Sb1 0.420 0.580 0.250
Sb2 0.580 0.420 0.750
I1 0.137 0.542 0.314
I2 0.229 0.332 0.797
I3 0.332 0.229 0.297
I4 0.458 0.863 0.186
I5 0.542 0.137 0.814
I6 0.668 0.771 0.703
I7 0.771 0.668 0.203
I8 0.863 0.458 0.686

Most intense lines, 10° ≤ 2θ ≤ 90°, low angle first:
2θ = 11.16°, d = 7.931 Å, intensity 43; 2θ = 17.03°, d = 5.207 Å, intensity 32; 2θ = 20.09°, d = 4.420 Å, intensity 40; 2θ = 25.07°, d = 3.552 Å, intensity 43; 2θ = 25.92°, d = 3.437 Å, intensity 31; 2θ = 26.89°, d = 3.315 Å, intensity 62; 2θ = 27.28°, d = 3.269 Å, intensity 100; 2θ = 29.06°, d = 3.072 Å, intensity 23; 2θ = 31.17°, d = 2.869 Å, intensity 22; 2θ = 31.86°, d = 2.809 Å, intensity 23; 2θ = 34.53°, d = 2.598 Å, intensity 22; 2θ = 40.88°, d = 2.207 Å, intensity 37



Entry 12:
Starting from a GGA-PBE-relaxed structure, the powder diffractogram of Rb2ScI4 was computed for Cu Kα X-rays.

Structure:
abc: 8.637 8.404 10.179
angles: 90.00 107.75 90.00
Fractional coordinates of all 14 atoms:
Rb1 0.219 0.250 0.057
Rb2 0.253 0.250 0.561
Rb3 0.747 0.750 0.439
Rb4 0.781 0.750 0.943
Sc1 0.242 0.750 0.807
Sc2 0.758 0.250 0.193
I1 0.008 0.001 0.745
I2 0.008 0.499 0.745
I3 0.430 0.750 0.622
I4 0.431 0.750 0.089
I5 0.569 0.250 0.911
I6 0.570 0.250 0.378
I7 0.992 0.501 0.255
I8 0.992 0.999 0.255

Most intense lines, 10° ≤ 2θ ≤ 90°, low angle first:
2θ = 21.13°, d = 4.205 Å, intensity 17; 2θ = 23.76°, d = 3.745 Å, intensity 100; 2θ = 23.98°, d = 3.711 Å, intensity 36; 2θ = 26.02°, d = 3.425 Å, intensity 34; 2θ = 26.25°, d = 3.394 Å, intensity 32; 2θ = 28.07°, d = 3.179 Å, intensity 65; 2θ = 30.41°, d = 2.939 Å, intensity 15; 2θ = 34.38°, d = 2.609 Å, intensity 21; 2θ = 35.27°, d = 2.545 Å, intensity 27; 2θ = 39.19°, d = 2.299 Å, intensity 22; 2θ = 42.90°, d = 2.108 Å, intensity 15; 2θ = 43.07°, d = 2.100 Å, intensity 28